# LiTi2O4
Simulated PXRD pattern, Cu Kα (weighted mean of Kα1 and Kα2). Input: a structure optimized by DFT (GGA-PBE).

Most intense lines, 2θ = 10–80°, in order of falling intensity:
d/Å, 2θ/deg, Rel. int.
4.537, 19.57, 100
2.007, 45.17, 64
4.818, 18.41, 57
2.528, 35.52, 49
2.268, 39.73, 47
1.542, 59.99, 44
1.485, 62.57, 42
2.484, 36.16, 41
2.724, 32.88, 32
3.516, 25.33, 29

Crystal structure
abc: 5.9380 5.9380 9.6364
angles: 90.00 90.00 120.00
Atoms (fractional coordinates):
Li1 0.0000 0.0000 0.0000
Li2 0.0000 0.0000 0.5000
Li3 0.3333 0.6667 0.3987
Li4 0.6667 0.3333 0.8987
Ti1 0.1709 0.3418 0.7204
Ti2 0.1709 0.8291 0.7204
Ti3 0.3333 0.6667 0.9938
Ti4 0.3418 0.1709 0.2204
Ti5 0.6582 0.8291 0.7204
Ti6 0.6667 0.3333 0.4938
Ti7 0.8291 0.1709 0.2204
Ti8 0.8291 0.6582 0.2204
O1 0.0000 0.0000 0.3149
O2 0.0000 0.0000 0.8149
O3 0.0398 0.5199 0.8457
O4 0.1663 0.3326 0.1033
O5 0.1663 0.8337 0.1033
O6 0.3326 0.1663 0.6033
O7 0.3333 0.6667 0.6078
O8 0.4801 0.5199 0.8457
O9 0.4801 0.9602 0.8457
O10 0.5199 0.0398 0.3457
O11 0.5199 0.4801 0.3457
O12 0.6667 0.3333 0.1078
O13 0.6674 0.8337 0.1033
O14 0.8337 0.1663 0.6033
O15 0.8337 0.6674 0.6033
O16 0.9602 0.4801 0.3457